Structure and calculated XRD peak list of Nd2GaNiS5 (a cell relaxed with PBE; a wavelength of 1.5418 Å).
No peak broadening, texture or thermal motion is included.

Peak list (6 most intense, 5° ≤ 2θ ≤ 70°, low angle first)
index  2θ (°)  I (rel.)
0 2 3  25.46  86
1 1 2  28.46  91
0 6 1  32.12  100
1 1 3  33.48  93
1 5 2  38.47  72
1 5 3  42.45  75

Structure:
```
data_Nd2GaNiS5
_cell_length_a 3.8347
_cell_length_b 17.2179
_cell_length_c 11.4874
_cell_angle_alpha 90.00
_cell_angle_beta 90.00
_cell_angle_gamma 90.00
_symmetry_space_group_name_H-M 'C m c 21'
_symmetry_Int_Tables_number 36
_symmetry_space_group_name_Hall 'C 2c -2'
loop_
_atom_site_label
_atom_site_type_symbol
_atom_site_fract_x
_atom_site_fract_y
_atom_site_fract_z
Nd1 Nd 0.0000 0.1119 0.0000
Nd2 Nd 0.0000 0.1346 0.6194
Ga1 Ga 0.0000 0.4256 0.7742
Ni1 Ni 0.0000 0.2481 0.4084
S1 S 0.0000 0.0449 0.3823
S2 S 0.0000 0.2910 0.9736
S3 S 0.0000 0.3182 0.6583
S4 S 0.0000 0.3589 0.3137
S5 S 0.0000 0.4966 0.1059
```